Structure and calculated powder diffractogram of ThHg (a GGA-PBE-relaxed structure; λ = 1.5418 Å (Cu Kα)).
Peak positions follow from Bragg's law for the DFT cell and can differ from measured ones.

Top 10 peaks for 2θ from 15° to 90°, by angle:
| (hkl) | 2θ/deg | d/Å | I_rel |
| --- | --- | --- | --- |
| 1 1 0 | 31.27 | 2.861 | 100 |
| 1 0 -2 | 32.31 | 2.771 | 42 |
| 0 1 2 | 33.89 | 2.645 | 74 |
| 0 2 0 | 36.96 | 2.432 | 38 |
| 1 1 -2 | 37.35 | 2.407 | 38 |
| 2 0 -1 | 49.47 | 1.842 | 17 |
| 1 2 -2 | 49.89 | 1.828 | 26 |
| 2 1 1 | 61.32 | 1.512 | 28 |
| 2 2 -1 | 63.33 | 1.469 | 16 |
| 1 2 -4 | 69.82 | 1.347 | 17 |

Crystal structure
abc: 3.6849 4.8642 6.5679
angles: 90.00 106.32 90.00
Space group P2_1/m (No. 11)
One atom of each set of equivalent atoms:
Th1 0.1623 0.2500 0.3238
Hg1 0.4275 0.2500 0.8561


Structure and calculated powder diffractogram of Th5Hg6 (a GGA-PBE-relaxed structure; λ = 1.5418 Å (Cu Kα)).
Peak positions follow from Bragg's law for the DFT cell and can differ from measured ones.

Top 10 peaks for 2θ from 15° to 90°, by angle:
| (hkl) | 2θ/deg | d/Å | I_rel |
| --- | --- | --- | --- |
| 1 1 4 | 31.13 | 2.873 | 23 |
| 1 2 3 | 33.58 | 2.669 | 100 |
| 2 0 0 | 33.80 | 2.652 | 31 |
| 0 3 1 | 35.08 | 2.558 | 10 |
| 0 0 6 | 35.39 | 2.537 | 19 |
| 2 0 6 | 49.74 | 1.833 | 15 |
| 0 3 7 | 55.10 | 1.667 | 8 |
| 2 4 0 | 58.83 | 1.570 | 11 |
| 3 2 3 | 60.32 | 1.534 | 19 |
| 2 3 7 | 66.23 | 1.411 | 10 |

Crystal structure
abc: 5.3038 7.7857 15.2198
angles: 90.00 90.00 90.00
Space group Immm (No. 71)
One atom of each set of equivalent atoms:
Th1 0.0000 0.0000 0.0000
Th2 0.0000 0.0000 0.3094
Th3 0.0000 0.5000 0.3509
Hg1 0.0000 0.1953 0.5000
Hg2 0.0000 0.2859 0.1521


Structure and calculated powder diffractogram of Th3TlHg5 (a GGA-PBE-relaxed structure; λ = 1.5418 Å (Cu Kα)).
Peak positions follow from Bragg's law for the DFT cell and can differ from measured ones.

Top 10 peaks for 2θ from 15° to 90°, by angle:
| (hkl) | 2θ/deg | d/Å | I_rel |
| --- | --- | --- | --- |
| 1 1 2 | 33.43 | 2.680 | 89 |
| 3 0 0 | 33.70 | 2.660 | 100 |
| 3 0 2 | 43.74 | 2.070 | 13 |
| 2 2 2 | 48.20 | 1.888 | 33 |
| 4 1 2 | 60.10 | 1.540 | 34 |
| 3 3 0 | 60.27 | 1.536 | 19 |
| 3 0 4 | 66.78 | 1.401 | 29 |
| 6 0 0 | 70.86 | 1.330 | 12 |
| 5 2 2 | 80.65 | 1.191 | 15 |
| 3 3 4 | 86.67 | 1.123 | 15 |

Crystal structure
abc: 9.2136 9.2136 6.5911
angles: 90.00 90.00 120.00
Space group P6_3/mcm (No. 193)
One atom of each set of equivalent atoms:
Th1 0.0000 0.3384 0.2500
Tl1 0.0000 0.0000 0.0000
Hg1 0.0000 0.3314 0.7500
Hg2 0.3333 0.6667 0.0000


Structure and calculated powder diffractogram of Th5Tl3Hg3 (a GGA-PBE-relaxed structure; λ = 1.5418 Å (Cu Kα)).
Peak positions follow from Bragg's law for the DFT cell and can differ from measured ones.

Top 10 peaks for 2θ from 15° to 90°, by angle:
| (hkl) | 2θ/deg | d/Å | I_rel |
| --- | --- | --- | --- |
| 2 1 0 | 25.44 | 3.501 | 31 |
| 0 0 1 | 26.22 | 3.399 | 32 |
| 3 0 0 | 28.91 | 3.088 | 97 |
| 1 1 1 | 31.18 | 2.869 | 100 |
| 2 2 0 | 33.51 | 2.674 | 28 |
| 3 1 0 | 34.92 | 2.569 | 75 |
| 2 1 1 | 36.86 | 2.439 | 69 |
| 2 2 1 | 43.04 | 2.102 | 80 |
| 3 2 1 | 50.66 | 1.802 | 29 |
| 6 0 1 | 66.52 | 1.406 | 34 |

Crystal structure
abc: 10.6968 10.6968 3.3988
angles: 90.00 90.00 120.00
Space group P-62m (No. 189)
One atom of each set of equivalent atoms:
Th1 0.0000 0.6548 0.0000
Th2 0.3333 0.6667 0.0000
Tl1 0.0000 0.3933 0.5000
Hg1 0.0000 0.1583 0.0000


Question: Which formula does entry 1 have?
Answer: ThHg